The following is a simulated powder XRD pattern of YSiNO2. It was derived from a GGA-PBE-relaxed structure, using Cu Kα, 1.54184 Å.

Principal peaks in the range 2θ = 10–90°, sorted by position:
- d 4.602, 2θ 19.29, intensity 43
- d 3.545, 2θ 25.12, intensity 65
- d 3.527, 2θ 25.25, intensity 31
- d 3.308, 2θ 26.95, intensity 23
- d 2.808, 2θ 31.87, intensity 100
- d 2.800, 2θ 31.97, intensity 51
- d 2.301, 2θ 39.15, intensity 23
- d 2.050, 2θ 44.18, intensity 21
- d 2.040, 2θ 44.41, intensity 44
- d 1.929, 2θ 47.11, intensity 63
- d 1.865, 2θ 48.84, intensity 32
- d 1.408, 2θ 66.40, intensity 18

```
YSiNO2
1.0
6.150 -3.527 0.000
6.150 3.527 0.000
0.000 0.000 9.204
Y Si N O
6 6 6 12
direct
0.000 0.000 0.000 Y
0.000 0.000 0.500 Y
0.325 0.325 0.000 Y
0.325 0.325 0.500 Y
0.675 0.675 0.000 Y
0.675 0.675 0.500 Y
0.091 0.665 0.250 Si
0.335 0.909 0.250 Si
0.416 0.584 0.750 Si
0.584 0.416 0.250 Si
0.665 0.091 0.750 Si
0.909 0.335 0.750 Si
0.098 0.902 0.250 N
0.337 0.426 0.250 N
0.426 0.337 0.750 N
0.574 0.663 0.250 N
0.663 0.574 0.750 N
0.902 0.098 0.750 N
0.026 0.334 0.594 O
0.026 0.334 0.906 O
0.303 0.697 0.591 O
0.303 0.697 0.909 O
0.334 0.026 0.094 O
0.334 0.026 0.406 O
0.666 0.974 0.594 O
0.666 0.974 0.906 O
0.697 0.303 0.091 O
0.697 0.303 0.409 O
0.974 0.666 0.094 O
0.974 0.666 0.406 O
```